For Ho2TmMg3AlGa2, the PBE geometry in OQMD gives the calculated powder X-ray diffraction pattern in this record (λ = 1.5418 Å (Cu Kα)).
Lines closer than 0.1° are merged.

Cell and atoms:
```
data_Ho2TmMg3AlGa2
_cell_length_a 4.4805
_cell_length_b 12.4998
_cell_length_c 7.2433
_cell_angle_alpha 90.00
_cell_angle_beta 90.00
_cell_angle_gamma 90.00
_space_group_name_H-M_alt 'A m m 2'
_space_group_IT_number 38
_space_group_name_Hall 'A 2 -2'
loop_
_atom_site_label
_atom_site_fract_x
_atom_site_fract_y
_atom_site_fract_z
_atom_site_occupancy
Ho1 0.0000 0.2177 0.0000 1
Tm1 0.0000 0.0000 0.3471 1
Mg1 0.5000 0.0000 0.0263 1
Mg2 0.5000 0.1221 0.6598 1
Al1 0.0000 0.0000 0.7803 1
Ga1 0.5000 0.1659 0.2823 1
```

Largest 8 diffraction maxima, low angle first, 2θ = 15–90°:
| 2theta | d (Å) | I/Imax | hkl |
| --- | --- | --- | --- |
| 19.82 | 4.480 | 22 | 1 0 0 |
| 24.63 | 3.615 | 19 | 0 3 1 |
| 28.51 | 3.131 | 32 | 0 2 2 |
| 31.81 | 2.813 | 82 | 1 3 1 |
| 34.96 | 2.566 | 100 | 1 4 0 |
| 37.99 | 2.368 | 20 | 0 1 3 |
| 40.26 | 2.240 | 23 | 2 0 0 |
| 56.82 | 1.620 | 21 | 1 5 3 |

For Sm2Dy2BBr3Cl2, the PBE geometry in OQMD gives the calculated powder X-ray diffraction pattern in this record (λ = 1.5418 Å (Cu Kα)).
Lines closer than 0.1° are merged.

Cell and atoms:
```
data_Sm2Dy2BBr3Cl2
_cell_length_a 18.0218
_cell_length_b 3.9207
_cell_length_c 8.1407
_cell_angle_alpha 90.00
_cell_angle_beta 103.26
_cell_angle_gamma 90.00
_space_group_name_H-M_alt 'C 1 2/m 1'
_space_group_IT_number 12
_space_group_name_Hall '-C 2y'
loop_
_atom_site_label
_atom_site_fract_x
_atom_site_fract_y
_atom_site_fract_z
_atom_site_occupancy
Sm1 0.1452 0.0000 0.0828 1
Dy1 0.9997 0.5000 0.2088 1
B1 0.0000 0.0000 0.0000 1
Br1 0.0000 0.0000 0.5000 1
Br2 0.1695 0.5000 0.8238 1
Cl1 0.1567 0.5000 0.3319 1
```

Largest 8 diffraction maxima, low angle first, 2θ = 15–90°:
| 2theta | d (Å) | I/Imax | hkl |
| --- | --- | --- | --- |
| 30.58 | 2.924 | 49 | 6 0 0 |
| 31.00 | 2.885 | 21 | 3 1 1 |
| 31.69 | 2.824 | 100 | 1 1 -2 |
| 34.26 | 2.617 | 33 | 5 1 -1 |
| 40.47 | 2.229 | 22 | 6 0 -3 |
| 44.54 | 2.034 | 42 | 7 1 -2 |
| 44.67 | 2.028 | 32 | 5 1 2 |
| 56.53 | 1.628 | 19 | 6 2 0 |

For LiSn6Pt2, the PBE geometry in OQMD gives the calculated powder X-ray diffraction pattern in this record (λ = 1.5418 Å (Cu Kα)).
Lines closer than 0.1° are merged.

Cell and atoms:
```
data_LiSn6Pt2
_cell_length_a 6.7628
_cell_length_b 6.7628
_cell_length_c 8.7676
_cell_angle_alpha 90.00
_cell_angle_beta 90.00
_cell_angle_gamma 90.00
_space_group_name_H-M_alt 'P 4/m b m'
_space_group_IT_number 127
_space_group_name_Hall '-P 4 2ab'
loop_
_atom_site_label
_atom_site_fract_x
_atom_site_fract_y
_atom_site_fract_z
_atom_site_occupancy
Li1 0.0000 0.0000 0.0000 1
Sn1 0.1564 0.3436 0.1792 1
Sn2 0.1641 0.6641 0.5000 1
Pt1 0.0000 0.0000 0.3098 1
```

Largest 8 diffraction maxima, low angle first, 2θ = 15–90°:
| 2theta | d (Å) | I/Imax | hkl |
| --- | --- | --- | --- |
| 20.26 | 4.384 | 18 | 0 0 2 |
| 31.29 | 2.859 | 52 | 2 1 1 |
| 36.05 | 2.491 | 100 | 1 1 3 |
| 40.81 | 2.211 | 45 | 2 0 3 |
| 42.26 | 2.139 | 59 | 3 1 0 |
| 63.58 | 1.463 | 20 | 4 0 3 |
| 66.86 | 1.399 | 29 | 3 3 3 |
| 79.39 | 1.207 | 26 | 3 1 6 |

For Sr2LiPtC2, the PBE geometry in OQMD gives the calculated powder X-ray diffraction pattern in this record (λ = 1.5418 Å (Cu Kα)).
Lines closer than 0.1° are merged.

Cell and atoms:
```
data_Sr2LiPtC2
_cell_length_a 3.8578
_cell_length_b 4.2711
_cell_length_c 7.5581
_cell_angle_alpha 90.00
_cell_angle_beta 90.00
_cell_angle_gamma 90.00
_space_group_name_H-M_alt 'P m m m'
_space_group_IT_number 47
_space_group_name_Hall '-P 2 2'
loop_
_atom_site_label
_atom_site_fract_x
_atom_site_fract_y
_atom_site_fract_z
_atom_site_occupancy
Sr1 0.0000 0.0000 0.2488 1
Li1 0.5000 0.5000 0.5000 1
Pt1 0.5000 0.5000 0.0000 1
C1 0.0000 0.5000 0.0000 1
C2 0.5000 0.0000 0.5000 1
```

Largest 8 diffraction maxima, low angle first, 2θ = 15–90°:
| 2theta | d (Å) | I/Imax | hkl |
| --- | --- | --- | --- |
| 23.93 | 3.718 | 63 | 0 1 1 |
| 31.24 | 2.863 | 91 | 1 1 0 |
| 31.61 | 2.830 | 100 | 0 1 2 |
| 33.19 | 2.700 | 88 | 1 0 2 |
| 33.47 | 2.677 | 43 | 1 1 1 |
| 48.14 | 1.890 | 32 | 0 0 4 |
| 54.81 | 1.675 | 42 | 1 2 2 |
| 57.85 | 1.594 | 36 | 2 1 2 |

For Sr2ScOsN6, the PBE geometry in OQMD gives the calculated powder X-ray diffraction pattern in this record (λ = 1.5418 Å (Cu Kα)).
Lines closer than 0.1° are merged.

Cell and atoms:
```
data_Sr2ScOsN6
_cell_length_a 9.9460
_cell_length_b 5.7426
_cell_length_c 5.7509
_cell_angle_alpha 90.00
_cell_angle_beta 125.27
_cell_angle_gamma 90.00
_space_group_name_H-M_alt 'C 1 2/m 1'
_space_group_IT_number 12
_space_group_name_Hall '-C 2y'
loop_
_atom_site_label
_atom_site_fract_x
_atom_site_fract_y
_atom_site_fract_z
_atom_site_occupancy
Sr1 0.2498 0.0000 0.2491 1
Sc1 0.0000 0.0000 0.5000 1
Os1 0.0000 0.5000 0.0000 1
N1 0.0007 0.2610 0.2397 1
N2 0.2390 0.5000 0.2377 1
```

Largest 8 diffraction maxima, low angle first, 2θ = 15–90°:
| 2theta | d (Å) | I/Imax | hkl |
| --- | --- | --- | --- |
| 18.92 | 4.691 | 33 | 0 0 1 |
| 31.14 | 2.873 | 100 | 1 1 1 |
| 36.69 | 2.450 | 17 | 0 2 1 |
| 44.61 | 2.031 | 29 | 4 0 0 |
| 55.40 | 1.658 | 40 | 4 2 0 |
| 64.89 | 1.437 | 9 | 2 2 2 |
| 64.96 | 1.436 | 9 | 0 4 0 |
| 73.74 | 1.285 | 14 | 5 1 1 |

For TbCo5As3, the PBE geometry in OQMD gives the calculated powder X-ray diffraction pattern in this record (λ = 1.5418 Å (Cu Kα)).
Lines closer than 0.1° are merged.

Cell and atoms:
```
data_TbCo5As3
_cell_length_a 12.1525
_cell_length_b 3.7805
_cell_length_c 10.6797
_cell_angle_alpha 90.00
_cell_angle_beta 90.00
_cell_angle_gamma 90.00
_space_group_name_H-M_alt 'P n m a'
_space_group_IT_number 62
_space_group_name_Hall '-P 2ac 2n'
loop_
_atom_site_label
_atom_site_fract_x
_atom_site_fract_y
_atom_site_fract_z
_atom_site_occupancy
Tb1 0.2014 0.2500 0.0826 1
Co1 0.0097 0.7500 0.7121 1
Co2 0.0116 0.7500 0.0930 1
Co3 0.0680 0.7500 0.4702 1
Co4 0.1780 0.2500 0.7847 1
Co5 0.1961 0.2500 0.3845 1
As1 0.1099 0.7500 0.8994 1
As2 0.1139 0.2500 0.5858 1
As3 0.1287 0.7500 0.2703 1
```

Largest 8 diffraction maxima, low angle first, 2θ = 15–90°:
| 2theta | d (Å) | I/Imax | hkl |
| --- | --- | --- | --- |
| 36.61 | 2.455 | 38 | 3 1 2 |
| 37.74 | 2.384 | 100 | 2 1 3 |
| 37.99 | 2.369 | 74 | 4 1 0 |
| 38.97 | 2.311 | 41 | 4 0 3 |
| 48.13 | 1.891 | 60 | 0 2 0 |
| 51.94 | 1.760 | 43 | 6 0 3 |
| 54.28 | 1.690 | 21 | 3 1 5 |
| 73.51 | 1.288 | 29 | 6 2 3 |

For PrGd2Al7Cu2, the PBE geometry in OQMD gives the calculated powder X-ray diffraction pattern in this record (λ = 1.5418 Å (Cu Kα)).
Lines closer than 0.1° are merged.

Cell and atoms:
```
data_PrGd2Al7Cu2
_cell_length_a 5.5389
_cell_length_b 5.5389
_cell_length_c 25.6721
_cell_angle_alpha 90.00
_cell_angle_beta 90.00
_cell_angle_gamma 120.00
_space_group_name_H-M_alt 'R -3 m'
_space_group_IT_number 166
_space_group_name_Hall '-R 3 2"'
loop_
_atom_site_label
_atom_site_fract_x
_atom_site_fract_y
_atom_site_fract_z
_atom_site_occupancy
Pr1 0.0000 0.0000 0.0000 1
Gd1 0.0000 0.0000 0.1419 1
Al1 0.0000 0.0000 0.5000 1
Al2 0.0063 0.5031 0.9213 1
Cu1 0.0000 0.0000 0.3354 1
```

Largest 8 diffraction maxima, low angle first, 2θ = 15–90°:
| 2theta | d (Å) | I/Imax | hkl |
| --- | --- | --- | --- |
| 18.82 | 4.715 | 37 | 1 0 1 |
| 20.76 | 4.279 | 30 | 0 0 6 |
| 30.69 | 2.913 | 49 | 1 0 7 |
| 32.33 | 2.769 | 88 | 1 1 0 |
| 33.60 | 2.667 | 32 | 0 1 8 |
| 37.67 | 2.388 | 26 | 0 2 1 |
| 38.73 | 2.325 | 100 | 1 1 6 |
| 63.93 | 1.456 | 27 | 2 0 14 |

For Li11Zn2, the PBE geometry in OQMD gives the calculated powder X-ray diffraction pattern in this record (λ = 1.5418 Å (Cu Kα)).
Lines closer than 0.1° are merged.

Cell and atoms:
```
data_Li11Zn2
_cell_length_a 9.4093
_cell_length_b 9.4093
_cell_length_c 9.4093
_cell_angle_alpha 90.00
_cell_angle_beta 90.00
_cell_angle_gamma 90.00
_space_group_name_H-M_alt 'I -4 3 m'
_space_group_IT_number 217
_space_group_name_Hall 'I -4 2 3'
loop_
_atom_site_label
_atom_site_fract_x
_atom_site_fract_y
_atom_site_fract_z
_atom_site_occupancy
Li1 0.0000 0.0000 0.3533 1
Li2 0.0409 0.3092 0.3092 1
Li3 0.1080 0.1080 0.1080 1
Zn1 0.1722 0.1722 0.8278 1
```

Largest 8 diffraction maxima, low angle first, 2θ = 15–90°:
| 2theta | d (Å) | I/Imax | hkl |
| --- | --- | --- | --- |
| 18.86 | 4.705 | 29 | 2 0 0 |
| 23.15 | 3.841 | 100 | 2 1 1 |
| 30.03 | 2.975 | 24 | 3 1 0 |
| 40.68 | 2.218 | 87 | 3 3 0 |
| 47.33 | 1.921 | 16 | 4 2 2 |
| 58.89 | 1.568 | 17 | 6 0 0 |
| 74.04 | 1.280 | 24 | 6 3 3 |
| 83.46 | 1.158 | 14 | 7 4 1 |

For Tm6Ni2Pb, the PBE geometry in OQMD gives the calculated powder X-ray diffraction pattern in this record (λ = 1.5418 Å (Cu Kα)).
Lines closer than 0.1° are merged.

Cell and atoms:
```
data_Tm6Ni2Pb
_cell_length_a 9.2210
_cell_length_b 9.6131
_cell_length_c 10.0416
_cell_angle_alpha 90.00
_cell_angle_beta 90.00
_cell_angle_gamma 90.00
_space_group_name_H-M_alt 'I m m m'
_space_group_IT_number 71
_space_group_name_Hall '-I 2 2'
loop_
_atom_site_label
_atom_site_fract_x
_atom_site_fract_y
_atom_site_fract_z
_atom_site_occupancy
Tm1 0.0000 0.2094 0.2323 1
Tm2 0.1908 0.5000 0.1744 1
Tm3 0.2057 0.3176 0.5000 1
Ni1 0.0000 0.3535 0.0000 1
Ni2 0.0000 0.5000 0.3753 1
Pb1 0.0000 0.0000 0.0000 1
Pb2 0.0000 0.0000 0.5000 1
```

Largest 8 diffraction maxima, low angle first, 2θ = 15–90°:
| 2theta | d (Å) | I/Imax | hkl |
| --- | --- | --- | --- |
| 30.53 | 2.928 | 31 | 3 1 0 |
| 32.28 | 2.774 | 100 | 2 2 2 |
| 34.40 | 2.607 | 29 | 2 1 3 |
| 34.60 | 2.592 | 54 | 1 3 2 |
| 35.26 | 2.545 | 27 | 2 3 1 |
| 35.79 | 2.509 | 34 | 0 0 4 |
| 39.07 | 2.305 | 17 | 4 0 0 |
| 60.82 | 1.523 | 25 | 5 3 2 |

For ZrS2O8, the PBE geometry in OQMD gives the calculated powder X-ray diffraction pattern in this record (λ = 1.5418 Å (Cu Kα)).
Lines closer than 0.1° are merged.

Cell and atoms:
```
data_ZrS2O8
_cell_length_a 8.5817
_cell_length_b 5.4430
_cell_length_c 10.8572
_cell_angle_alpha 90.00
_cell_angle_beta 90.00
_cell_angle_gamma 90.00
_space_group_name_H-M_alt 'P n m a'
_space_group_IT_number 62
_space_group_name_Hall '-P 2ac 2n'
loop_
_atom_site_label
_atom_site_fract_x
_atom_site_fract_y
_atom_site_fract_z
_atom_site_occupancy
Zr1 0.2465 0.2500 0.1070 1
S1 0.0017 0.2500 0.8415 1
S2 0.1483 0.2500 0.4091 1
O1 0.0089 0.7500 0.6464 1
O2 0.0715 0.2500 0.9659 1
O3 0.1034 0.5325 0.1660 1
O4 0.1115 0.2500 0.7420 1
O5 0.1649 0.0282 0.4851 1
O6 0.2310 0.7500 0.8121 1
```

Largest 8 diffraction maxima, low angle first, 2θ = 15–90°:
| 2theta | d (Å) | I/Imax | hkl |
| --- | --- | --- | --- |
| 18.23 | 4.866 | 36 | 0 1 1 |
| 19.35 | 4.588 | 49 | 1 0 2 |
| 20.99 | 4.233 | 36 | 1 1 1 |
| 25.39 | 3.508 | 69 | 1 1 2 |
| 27.72 | 3.218 | 100 | 2 1 1 |
| 29.64 | 3.014 | 60 | 0 1 3 |
| 32.93 | 2.720 | 57 | 0 2 0 |
| 36.43 | 2.466 | 56 | 2 1 3 |

For DyAgSeS, the PBE geometry in OQMD gives the calculated powder X-ray diffraction pattern in this record (λ = 1.5418 Å (Cu Kα)).
Lines closer than 0.1° are merged.

Cell and atoms:
```
data_DyAgSeS
_cell_length_a 4.2163
_cell_length_b 6.6560
_cell_length_c 6.6632
_cell_angle_alpha 90.00
_cell_angle_beta 91.18
_cell_angle_gamma 90.00
_space_group_name_H-M_alt 'P 1 21 1'
_space_group_IT_number 4
_space_group_name_Hall 'P 2yb'
loop_
_atom_site_label
_atom_site_fract_x
_atom_site_fract_y
_atom_site_fract_z
_atom_site_occupancy
Dy1 0.2128 0.0000 0.2653 1
Ag1 0.0007 0.4938 0.2516 1
Se1 0.2869 0.2957 0.9518 1
S1 0.2685 0.6989 0.5492 1
```

Largest 8 diffraction maxima, low angle first, 2θ = 15–90°:
| 2theta | d (Å) | I/Imax | hkl |
| --- | --- | --- | --- |
| 25.00 | 3.561 | 42 | 1 1 0 |
| 26.78 | 3.329 | 68 | 0 2 0 |
| 28.63 | 3.118 | 42 | 1 1 1 |
| 34.33 | 2.612 | 32 | 1 2 0 |
| 36.80 | 2.442 | 34 | 1 2 -1 |
| 37.28 | 2.412 | 33 | 1 1 2 |
| 38.23 | 2.354 | 100 | 0 2 2 |
| 46.98 | 1.934 | 34 | 2 1 -1 |